Theoretical X-ray powder pattern of BaH8PtC4N4O4 for CuKα, from a DFT-relaxed cell (GGA-PBE, the Materials Project).
Kinematic intensities with the Lorentz-polarization factor, no thermal factor.

Crystal structure
Lattice parameters (Å, degrees): 12.5746 14.0445 6.6217 90.00 109.31 90.00
Space group C2/c (No. 15)
Unique sites:
Ba (0.0000, 0.1320, 0.2500) (multiplicity 4)
H (0.1077, 0.0924, 0.8392) (multiplicity 8)
H (0.1658, 0.0461, 0.0610) (multiplicity 8)
H (0.1973, 0.2079, 0.8650) (multiplicity 8)
H (0.2236, 0.1826, 0.6640) (multiplicity 8)
Pt (0.0000, 0.5000, 0.0000) (multiplicity 4)
C (0.0635, 0.3689, 0.0556) (multiplicity 8)
C (0.1537, 0.4424, 0.5878) (multiplicity 8)
N (0.0971, 0.2907, 0.0935) (multiplicity 8)
N (0.2443, 0.4082, 0.6360) (multiplicity 8)
O (0.0923, 0.0498, 0.9462) (multiplicity 8)
O (0.1603, 0.1849, 0.7191) (multiplicity 8)

Peak list (10 most intense, 2θ from 10° to 80°, by angle)
| two_theta | I_rel |
| --- | --- |
| 12.61 | 55 |
| 14.93 | 100 |
| 19.59 | 37 |
| 20.39 | 77 |
| 27.75 | 59 |
| 29.56 | 30 |
| 30.68 | 40 |
| 32.77 | 33 |
| 38.57 | 23 |
| 42.95 | 31 |